# PrNpSi4
Theoretical PXRD pattern, λ = 1.5418 Å (Cu Kα). Input: a cell relaxed with PBE.
Intensities are scaled so that the largest is 1000.

Principal peaks in the range 10 to 90 degrees two-theta, in order of rising 2θ:
2θ (°)  intensity  h k l
13.7  1000  1 1 0
20.4  649  1 3 0
22.2  663  0 0 1
24.9  434  1 4 0
26.1  580  1 1 1
30.3  913  1 3 1
33.6  743  1 4 1
34.4  765  2 1 1
37.4  512  1 5 1
43.6  416  0 8 0
44.5  781  3 4 0
65.3  503  3 4 2

Cell and atoms:
```
data_PrNpSi4
_chemical_formula_sum 'Pr4 Np4 Si16'
_space_group_name_H-M_alt 'P 1'
_space_group_IT_number 1
_space_group_name_Hall 'P 1'
_cell_length_a 7.0055
_cell_length_b 16.6197
_cell_length_c 4.0129
_cell_angle_alpha 90.00
_cell_angle_beta 90.00
_cell_angle_gamma 90.00
loop_
_atom_site_label
_atom_site_fract_x
_atom_site_fract_y
_atom_site_fract_z
Pr1 0.0934 0.1839 0.0000
Pr2 0.4066 0.6839 0.0000
Pr3 0.5934 0.3161 0.0000
Pr4 0.9066 0.8161 0.0000
Np1 0.0840 0.4374 0.0000
Np2 0.4160 0.9374 0.0000
Np3 0.5840 0.0626 0.0000
Np4 0.9160 0.5626 0.0000
Si1 0.0715 0.6827 0.5000
Si2 0.0903 0.9314 0.5000
Si3 0.2222 0.5518 0.5000
Si4 0.2430 0.8085 0.5000
Si5 0.2570 0.3085 0.5000
Si6 0.2778 0.0518 0.5000
Si7 0.4097 0.4314 0.5000
Si8 0.4285 0.1827 0.5000
Si9 0.5715 0.8173 0.5000
Si10 0.5903 0.5686 0.5000
Si11 0.7222 0.9482 0.5000
Si12 0.7430 0.6915 0.5000
Si13 0.7570 0.1915 0.5000
Si14 0.7778 0.4482 0.5000
Si15 0.9097 0.0686 0.5000
Si16 0.9285 0.3173 0.5000
```